Entry 1:
Starting from a crystal structure in Alexandria, relaxed with GGA-PBE, the powder X-ray diffraction pattern of Li8BiN2 was calculated for copper Kα.
Neutral-atom scattering factors, no anomalous dispersion.

Main lines, by intensity (2θ from 10° to 80°):
Position (°2θ)  I (rel.)  (hkl)
24.5  100.0  1 1 1
18.6  71.9  1 1 0
24.1  56.3  0 2 1
15.8  35.7  0 0 1
18.0  34.1  0 2 0
37.3  32.8  1 1 2
35.7  29.9  1 3 1
41.1  26.7  2 2 1

a = 5.450 Å, b = 9.855 Å, c = 5.596 Å
α = 90.00°, β = 90.08°, γ = 90.00°
Space group Cm (No. 8)
One atom of each set of equivalent atoms:
Li  0.000  0.000  0.000
Li  0.002  0.000  0.414
Li  0.114  0.375  0.207
Li  0.267  0.218  0.970
Li  0.268  0.218  0.445
Bi  0.016  0.500  0.707
N  0.484  0.321  0.207

=====

Entry 2:
Starting from a crystal structure in Alexandria, relaxed with GGA-PBE, the powder X-ray diffraction pattern of CsTl7Hg12 was calculated for copper Kα.
Neutral-atom scattering factors, no anomalous dispersion.

Main lines, by intensity (2θ from 10° to 80°):
Position (°2θ)  I (rel.)  (hkl)
33.2  100.0  3 3 0
33.6  85.7  0 4 2
29.8  59.6  3 2 1
32.8  57.8  0 0 3
62.5  47.8  3 6 3
27.7  44.7  4 0 1
35.4  42.9  2 3 2
27.5  41.4  1 2 2

a = 16.2053 Å, b = 16.2053 Å, c = 8.2008 Å
α = 90.00°, β = 90.00°, γ = 120.00°
Space group R-3m (No. 166, hexagonal axes)
One atom of each set of equivalent atoms:
Cs  0.0000  0.0000  0.0000
Tl  0.0000  0.0000  0.5000
Tl  0.0984  0.5492  0.3327
Hg  0.0000  0.2544  0.0000
Hg  0.1065  0.5532  0.9497

=====

Entry 3:
Starting from a crystal structure in Alexandria, relaxed with GGA-PBE, the powder X-ray diffraction pattern of Nd4Sm4Tm was calculated for copper Kα.
Neutral-atom scattering factors, no anomalous dispersion.

Main lines, by intensity (2θ from 10° to 80°):
Position (°2θ)  I (rel.)  (hkl)
30.1  100.0  3 0 1
34.9  50.7  3 3 0
50.2  36.3  6 0 0
59.6  28.9  6 3 1
59.7  14.4  3 0 3
62.6  12.4  6 0 2
73.7  3.9  6 6 0
73.8  1.9  0 0 4

a = 10.913 Å, b = 10.913 Å, c = 5.133 Å
α = 90.00°, β = 90.00°, γ = 90.00°
Space group I4/mmm (No. 139)
One atom of each set of equivalent atoms:
Nd  0.166  0.166  0.000
Sm  0.000  0.333  0.500
Tm  0.000  0.000  0.500

=====

Entry 4:
Starting from a crystal structure in Alexandria, relaxed with GGA-PBE, the powder X-ray diffraction pattern of In2PbBr6 was calculated for copper Kα.
Neutral-atom scattering factors, no anomalous dispersion.

Main lines, by intensity (2θ from 10° to 80°):
Position (°2θ)  I (rel.)  (hkl)
36.6  100.0  2 -1 6
27.0  96.7  1 1 3
14.1  80.8  1 0 1
32.7  75.5  0 2 4
28.3  70.4  2 0 2
22.9  64.8  1 0 4
40.5  57.9  3 0 0
16.2  53.6  0 1 2

a = 7.7073 Å, b = 7.7073 Å, c = 19.1146 Å
α = 90.00°, β = 90.00°, γ = 120.00°
Space group R3 (No. 146, hexagonal axes)
One atom of each set of equivalent atoms:
In  0.0000  0.0000  0.0000
In  0.0000  0.0000  0.2926
Pb  0.0000  0.0000  0.8004
Br  0.0177  0.6150  0.7436
Br  0.0951  0.3599  0.5753